1.
This entry pairs a crystal structure of LaNdPd3 with its simulated X-ray powder pattern. Radiation: a wavelength of 1.5418 Å. Structure: the PBE geometry in Alexandria.

Structure:
a = 7.058 Å, b = 8.047 Å, c = 8.100 Å
α = 90.00°, β = 90.00°, γ = 90.00°
Element x y z (fractional)
La1 0.220 0.137 0.000
La2 0.280 0.637 0.500
La3 0.720 0.363 0.500
La4 0.780 0.863 0.000
Nd1 0.217 0.136 0.500
Nd2 0.283 0.636 0.000
Nd3 0.717 0.364 0.000
Nd4 0.783 0.864 0.500
Pd1 0.000 0.500 0.247
Pd2 0.000 0.500 0.753
Pd3 0.117 0.857 0.252
Pd4 0.117 0.857 0.748
Pd5 0.383 0.357 0.248
Pd6 0.383 0.357 0.752
Pd7 0.500 0.000 0.253
Pd8 0.500 0.000 0.747
Pd9 0.617 0.643 0.248
Pd10 0.617 0.643 0.752
Pd11 0.883 0.143 0.252
Pd12 0.883 0.143 0.748

Most intense lines, 2θ = 10–90°, in order of rising 2θ:
hkl 2 0 2, 33.70 deg, I 50
hkl 1 2 2, 33.88 deg, I 100
hkl 2 1 2, 35.54 deg, I 32
hkl 1 3 0, 35.81 deg, I 22
hkl 3 1 0, 39.92 deg, I 16
hkl 1 3 2, 42.40 deg, I 13
hkl 3 2 0, 44.62 deg, I 21
hkl 0 0 4, 44.76 deg, I 24
hkl 2 4 0, 52.37 deg, I 13
hkl 1 3 4, 58.60 deg, I 11
hkl 3 2 4, 65.04 deg, I 14
hkl 4 4 2, 75.40 deg, I 17



2.
This entry pairs a crystal structure of Pm4MnGe8 with its simulated X-ray powder pattern. Radiation: a wavelength of 1.5418 Å. Structure: the PBE geometry in Alexandria.

Structure:
a = 4.080 Å, b = 4.252 Å, c = 16.509 Å
α = 90.00°, β = 90.00°, γ = 90.00°
Element x y z (fractional)
Pm1 0.000 0.000 0.000
Pm2 0.000 0.500 0.495
Pm3 0.500 0.000 0.789
Pm4 0.500 0.500 0.288
Mn1 0.000 0.500 0.704
Ge1 0.000 0.000 0.340
Ge2 0.000 0.000 0.635
Ge3 0.000 0.500 0.141
Ge4 0.000 0.500 0.853
Ge5 0.500 0.000 0.147
Ge6 0.500 0.000 0.440
Ge7 0.500 0.500 0.630
Ge8 0.500 0.500 0.951

Most intense lines, 2θ = 10–90°, in order of rising 2θ:
hkl 1 0 2, 24.34 deg, I 14
hkl 0 0 6, 32.54 deg, I 15
hkl 0 1 5, 34.39 deg, I 18
hkl 1 1 3, 34.55 deg, I 100
hkl 1 0 6, 39.50 deg, I 17
hkl 0 2 0, 42.52 deg, I 19
hkl 2 0 0, 44.41 deg, I 17
hkl 0 1 9, 54.51 deg, I 15
hkl 1 2 6, 59.41 deg, I 14
hkl 2 2 0, 63.17 deg, I 12
hkl 1 3 3, 72.67 deg, I 13
hkl 2 1 9, 72.85 deg, I 12